1.
Na3Cr2P3O12: computed powder diffractogram (CuKα), based on a cell relaxed with PBE+U.
Neutral-atom scattering factors, no anomalous dispersion.

Most intense lines, 2θ from 10° to 90°, low angle first:
2θ (°), intensity
14.2, 20
20.0, 45
20.2, 30
23.6, 68
28.6, 32
31.4, 28
31.9, 100
35.4, 50
48.3, 23
61.3, 14

Structural model:
a b c (Å): 8.785 8.785 8.892
angles (deg): 119.63 119.63 60.14
Fractional positions:
Na1 0.000 0.500 0.000
Na2 0.115 0.252 0.251
Na3 0.252 0.115 0.751
Na4 0.500 0.000 0.500
Na5 0.748 0.885 0.249
Na6 0.885 0.748 0.749
Cr1 0.151 0.646 0.442
Cr2 0.354 0.849 0.058
Cr3 0.646 0.151 0.942
Cr4 0.849 0.354 0.558
P1 0.043 0.957 0.250
P2 0.253 0.458 0.748
P3 0.458 0.253 0.248
P4 0.542 0.747 0.752
P5 0.747 0.542 0.252
P6 0.957 0.043 0.750
O1 0.018 0.130 0.423
O2 0.060 0.781 0.265
O3 0.080 0.434 0.735
O4 0.130 0.018 0.923
O5 0.219 0.940 0.235
O6 0.220 0.480 0.572
O7 0.271 0.633 0.917
O8 0.276 0.419 0.264
O9 0.367 0.729 0.583
O10 0.419 0.276 0.764
O11 0.434 0.080 0.235
O12 0.480 0.220 0.072
O13 0.520 0.780 0.928
O14 0.566 0.920 0.765
O15 0.581 0.724 0.236
O16 0.633 0.271 0.417
O17 0.724 0.581 0.736
O18 0.729 0.367 0.083
O19 0.780 0.520 0.428
O20 0.781 0.060 0.765
O21 0.870 0.982 0.077
O22 0.920 0.566 0.265
O23 0.940 0.219 0.735
O24 0.982 0.870 0.577


2.
Li9Mn4B8O24: computed powder diffractogram (CuKα), based on a cell relaxed with PBE+U.
Neutral-atom scattering factors, no anomalous dispersion.

Most intense lines, 2θ from 10° to 90°, low angle first:
2θ (°), intensity
18.7, 98
20.3, 74
20.8, 100
22.1, 22
26.2, 22
35.2, 53
35.6, 19
36.7, 69
40.6, 17
53.5, 27

Structural model:
a b c (Å): 5.281 8.729 9.810
angles (deg): 90.28 93.22 90.07
Fractional positions:
Li1 0.000 0.000 0.000
Li2 0.007 0.687 0.490
Li3 0.141 0.524 0.247
Li4 0.151 0.184 0.755
Li5 0.189 0.193 0.222
Li6 0.504 0.148 0.987
Li7 0.516 0.822 0.508
Li8 0.644 0.324 0.746
Li9 0.654 0.651 0.266
Mn1 0.202 0.862 0.750
Mn2 0.462 0.476 0.007
Mn3 0.698 0.968 0.252
Mn4 0.957 0.364 0.501
B1 0.003 0.350 0.003
B2 0.157 0.848 0.260
B3 0.169 0.514 0.747
B4 0.488 0.821 0.007
B5 0.504 0.482 0.493
B6 0.654 0.986 0.759
B7 0.667 0.320 0.246
B8 0.989 0.014 0.509
O1 0.017 0.392 0.699
O2 0.059 0.991 0.221
O3 0.083 0.158 0.532
O4 0.084 0.658 0.717
O5 0.108 0.493 0.036
O6 0.144 0.892 0.555
O7 0.154 0.223 0.000
O8 0.244 0.497 0.470
O9 0.255 0.851 0.941
O10 0.396 0.476 0.815
O11 0.416 0.831 0.283
O12 0.493 0.105 0.782
O13 0.526 0.449 0.204
O14 0.554 0.843 0.720
O15 0.557 0.181 0.227
O16 0.582 0.679 0.034
O17 0.604 0.340 0.531
O18 0.636 0.944 0.054
O19 0.667 0.600 0.473
O20 0.744 0.339 0.975
O21 0.758 0.978 0.446
O22 0.914 0.000 0.781
O23 0.916 0.341 0.303
O24 0.997 0.730 0.280


3.
RbTmW2O8: computed powder diffractogram (CuKα), based on a cell relaxed with PBE+U.
Neutral-atom scattering factors, no anomalous dispersion.

Most intense lines, 2θ from 10° to 90°, low angle first:
2θ (°), intensity
20.1, 100
27.9, 61
29.3, 58
37.6, 15
40.9, 25
47.0, 21
51.1, 23
52.0, 12
54.6, 20
68.2, 14

Structural model:
a b c (Å): 6.090 6.090 8.063
angles (deg): 90.00 90.00 120.00
Fractional positions:
Rb1 0.000 0.000 0.000
Tm1 0.000 0.000 0.500
W1 0.333 0.667 0.266
W2 0.667 0.333 0.734
O1 0.168 0.337 0.337
O2 0.168 0.832 0.337
O3 0.333 0.667 0.047
O4 0.337 0.168 0.663
O5 0.663 0.832 0.337
O6 0.667 0.333 0.953
O7 0.832 0.168 0.663
O8 0.832 0.663 0.663


4.
Pa2Cr2O5: computed powder diffractogram (CuKα), based on a cell relaxed with PBE+U.
Neutral-atom scattering factors, no anomalous dispersion.

Most intense lines, 2θ from 10° to 90°, low angle first:
2θ (°), intensity
20.5, 22
20.7, 35
29.3, 100
36.1, 9
42.0, 18
47.3, 19
51.9, 13
52.1, 29
60.8, 12
69.1, 12

Structural model:
a b c (Å): 4.298 4.298 8.650
angles (deg): 90.00 90.00 90.00
Fractional positions:
Pa1 0.000 0.000 0.249
Pa2 0.000 0.000 0.751
Cr1 0.500 0.500 0.000
Cr2 0.500 0.500 0.500
O1 0.000 0.000 0.000
O2 0.000 0.500 0.248
O3 0.000 0.500 0.752
O4 0.500 0.000 0.248
O5 0.500 0.000 0.752


5.
SrCoO3: computed powder diffractogram (CuKα), based on a cell relaxed with PBE+U.
Neutral-atom scattering factors, no anomalous dispersion.

Most intense lines, 2θ from 10° to 90°, low angle first:
2θ (°), intensity
18.5, 27
25.4, 36
26.7, 51
27.9, 100
29.5, 22
31.9, 24
32.6, 36
36.6, 45
44.3, 38
49.0, 22

Structural model:
a b c (Å): 4.929 5.500 9.632
angles (deg): 89.64 84.26 89.90
Fractional positions:
Sr1 0.021 0.250 0.346
Sr2 0.467 0.248 0.656
Sr3 0.533 0.752 0.344
Sr4 0.979 0.750 0.654
Co1 0.003 0.749 0.003
Co2 0.500 0.000 0.000
Co3 0.500 0.500 0.000
Co4 0.997 0.251 0.997
O1 0.021 0.757 0.395
O2 0.186 0.000 0.897
O3 0.190 0.501 0.894
O4 0.305 0.251 0.100
O5 0.314 0.746 0.104
O6 0.486 0.749 0.606
O7 0.514 0.251 0.394
O8 0.686 0.254 0.896
O9 0.695 0.749 0.900
O10 0.810 0.499 0.106
O11 0.814 0.000 0.103
O12 0.979 0.243 0.605


6.
Sr4Mn5O15: computed powder diffractogram (CuKα), based on a cell relaxed with PBE+U.
Neutral-atom scattering factors, no anomalous dispersion.

Most intense lines, 2θ from 10° to 90°, low angle first:
2θ (°), intensity
32.9, 100
40.5, 9
47.1, 14
47.2, 28
58.7, 22
58.7, 13
68.8, 12
69.0, 12
78.5, 5
78.6, 5

Structural model:
a b c (Å): 5.445 9.427 12.213
angles (deg): 97.47 102.87 106.69
Fractional positions:
Sr1 0.053 0.456 0.153
Sr2 0.151 0.347 0.455
Sr3 0.348 0.151 0.044
Sr4 0.446 0.044 0.346
Sr5 0.554 0.956 0.654
Sr6 0.652 0.849 0.956
Sr7 0.849 0.653 0.545
Sr8 0.947 0.544 0.847
Mn1 0.000 0.000 0.500
Mn2 0.103 0.905 0.800
Mn3 0.203 0.800 0.105
Mn4 0.300 0.704 0.398
Mn5 0.398 0.596 0.701
Mn6 0.500 0.500 0.000
Mn7 0.602 0.404 0.299
Mn8 0.700 0.296 0.602
Mn9 0.797 0.200 0.895
Mn10 0.897 0.095 0.200
O1 0.026 0.952 0.650
O2 0.042 0.457 0.646
O3 0.057 0.959 0.135
O4 0.145 0.353 0.956
O5 0.158 0.837 0.946
O6 0.166 0.849 0.467
O7 0.229 0.757 0.251
O8 0.246 0.753 0.738
O9 0.251 0.251 0.251
O10 0.344 0.645 0.056
O11 0.353 0.148 0.546
O12 0.361 0.638 0.546
O13 0.439 0.549 0.342
O14 0.445 0.570 0.857
O15 0.457 0.046 0.853
O16 0.543 0.954 0.147
O17 0.555 0.430 0.143
O18 0.561 0.451 0.658
O19 0.639 0.362 0.454
O20 0.647 0.852 0.454
O21 0.656 0.355 0.944
O22 0.749 0.749 0.749
O23 0.754 0.247 0.262
O24 0.771 0.243 0.749
O25 0.834 0.151 0.533
O26 0.842 0.163 0.054
O27 0.855 0.647 0.044
O28 0.943 0.041 0.865
O29 0.958 0.543 0.354
O30 0.974 0.048 0.350